Calculated X-ray diffraction stick pattern of LiAcCO4 for Cu Kα X-rays, from DFT lattice parameters and positions (GGA-PBE).
Kinematic intensities with the Lorentz-polarization factor, no thermal factor.

Principal peaks in the range 10° ≤ 2θ ≤ 80°, in order of rising 2θ:
d [Å]  I (rel.)
4.329  78.6
4.202  31.2
3.932  49.5
3.015  100.0
2.339  29.1
2.044  33.5

Atomic structure:
a = 6.3116 Å, b = 6.3116 Å, c = 6.3116 Å
α = 131.48°, β = 96.52°, γ = 102.94°
Fractional coordinates of all 14 atoms:
Li1 0.5000 0.0000 0.0000
Li2 0.5000 0.5000 0.5000
Ac1 0.0000 0.0000 0.0000
Ac2 0.5000 0.0000 0.5000
C1 0.1651 0.4151 0.7500
C2 0.8349 0.5849 0.2500
O1 0.0614 0.6710 0.3904
O2 0.2194 0.3290 0.8904
O3 0.2840 0.3066 0.5226
O4 0.2840 0.7614 0.9774
O5 0.7160 0.2386 0.0226
O6 0.7160 0.6934 0.4774
O7 0.7806 0.6710 0.1096
O8 0.9386 0.3290 0.6096

=====

Calculated X-ray diffraction stick pattern of AcMg3C4O12 for Cu Kα X-rays, from DFT lattice parameters and positions (GGA-PBE).
Kinematic intensities with the Lorentz-polarization factor, no thermal factor.

Principal peaks in the range 10° ≤ 2θ ≤ 80°, in order of rising 2θ:
d [Å]  I (rel.)
5.848  100.0
4.855  61.7
3.736  42.2
2.961  43.7
2.924  85.5
2.505  40.9

Atomic structure:
a = 6.2282 Å, b = 6.2282 Å, c = 6.2282 Å
α = 102.44°, β = 102.44°, γ = 102.44°
Fractional coordinates of all 20 atoms:
Ac1 0.0000 0.0000 0.0000
Mg1 0.0000 0.5474 0.4526
Mg2 0.4526 0.0000 0.5474
Mg3 0.5474 0.4526 0.0000
C1 0.0487 0.5000 0.9513
C2 0.5000 0.5000 0.5000
C3 0.5000 0.9513 0.0487
C4 0.9513 0.0487 0.5000
O1 0.0271 0.6137 0.7973
O2 0.0881 0.9119 0.5000
O3 0.2027 0.3863 0.9729
O4 0.3656 0.6344 0.5000
O5 0.3863 0.9729 0.2027
O6 0.5000 0.0881 0.9119
O7 0.5000 0.3656 0.6344
O8 0.6137 0.7973 0.0271
O9 0.6344 0.5000 0.3656
O10 0.7973 0.0271 0.6137
O11 0.9119 0.5000 0.0881
O12 0.9729 0.2027 0.3863

=====

Calculated X-ray diffraction stick pattern of AcMgC2O8 for Cu Kα X-rays, from DFT lattice parameters and positions (GGA-PBE).
Kinematic intensities with the Lorentz-polarization factor, no thermal factor.

Principal peaks in the range 10° ≤ 2θ ≤ 80°, in order of rising 2θ:
d [Å]  I (rel.)
5.514  44.3
4.771  85.9
4.583  100.0
3.930  46.0
3.223  45.8
2.874  43.6

Atomic structure:
a = 5.8587 Å, b = 5.8587 Å, c = 6.0604 Å
α = 111.80°, β = 111.80°, γ = 52.96°
Fractional coordinates of all 12 atoms:
Ac1 0.0000 0.0000 0.0000
Mg1 0.5000 0.5000 0.5000
C1 0.1390 0.1390 0.6300
C2 0.8610 0.8610 0.3700
O1 0.0935 0.6657 0.2720
O2 0.1664 0.1664 0.4450
O3 0.3343 0.9065 0.7280
O4 0.4440 0.4440 0.8909
O5 0.5560 0.5560 0.1091
O6 0.6657 0.0935 0.2720
O7 0.8336 0.8336 0.5550
O8 0.9065 0.3343 0.7280

=====

Calculated X-ray diffraction stick pattern of AcMn2C3 for Cu Kα X-rays, from DFT lattice parameters and positions (GGA-PBE).
Kinematic intensities with the Lorentz-polarization factor, no thermal factor.

Principal peaks in the range 10° ≤ 2θ ≤ 80°, in order of rising 2θ:
d [Å]  I (rel.)
3.700  100.0
2.985  24.5
2.765  42.6
2.560  35.5
2.229  27.0
1.990  23.0

Atomic structure:
a = 6.0105 Å, b = 6.0105 Å, c = 4.9779 Å
α = 90.00°, β = 90.00°, γ = 113.07°
Fractional coordinates of all 12 atoms:
Ac1 0.2118 0.7882 0.7500
Ac2 0.7882 0.2118 0.2500
Mn1 0.3103 0.3103 0.0000
Mn2 0.3103 0.3103 0.5000
Mn3 0.6897 0.6897 0.0000
Mn4 0.6897 0.6897 0.5000
C1 0.0395 0.1736 0.7500
C2 0.1736 0.0395 0.2500
C3 0.4238 0.5762 0.2500
C4 0.5762 0.4238 0.7500
C5 0.8264 0.9605 0.7500
C6 0.9605 0.8264 0.2500

=====

Calculated X-ray diffraction stick pattern of Ac2MnC2N6 for Cu Kα X-rays, from DFT lattice parameters and positions (GGA-PBE).
Kinematic intensities with the Lorentz-polarization factor, no thermal factor.

Principal peaks in the range 10° ≤ 2θ ≤ 80°, in order of rising 2θ:
d [Å]  I (rel.)
4.569  23.3
3.561  100.0
2.638  50.1
2.413  37.1
2.120  39.9
1.652  27.4

Atomic structure:
a = 5.2757 Å, b = 5.2757 Å, c = 5.6844 Å
α = 90.00°, β = 90.00°, γ = 120.00°
Fractional coordinates of all 11 atoms:
Ac1 0.3333 0.6667 0.2970
Ac2 0.6667 0.3333 0.7030
Mn1 0.0000 0.0000 0.0000
C1 0.3333 0.6667 0.8055
C2 0.6667 0.3333 0.1945
N1 0.1831 0.3663 0.7870
N2 0.1831 0.8169 0.7870
N3 0.3663 0.1831 0.2130
N4 0.6337 0.8169 0.7870
N5 0.8169 0.1831 0.2130
N6 0.8169 0.6337 0.2130

=====

Calculated X-ray diffraction stick pattern of Ac3C2N8 for Cu Kα X-rays, from DFT lattice parameters and positions (GGA-PBE).
Kinematic intensities with the Lorentz-polarization factor, no thermal factor.

Principal peaks in the range 10° ≤ 2θ ≤ 80°, in order of rising 2θ:
d [Å]  I (rel.)
4.665  48.4
3.426  56.2
3.033  100.0
2.773  89.8
2.047  38.1
1.710  32.0

Atomic structure:
a = 7.2631 Å, b = 7.2631 Å, c = 7.2631 Å
α = 44.89°, β = 44.89°, γ = 44.89°
Fractional coordinates of all 13 atoms:
Ac1 0.0000 0.0000 0.0000
Ac2 0.2111 0.2111 0.2111
Ac3 0.7889 0.7889 0.7889
C1 0.4203 0.4203 0.4203
C2 0.5797 0.5797 0.5797
N1 0.2723 0.7106 0.7106
N2 0.2894 0.2894 0.7277
N3 0.2894 0.7277 0.2894
N4 0.3458 0.3458 0.3458
N5 0.6542 0.6542 0.6542
N6 0.7106 0.2723 0.7106
N7 0.7106 0.7106 0.2723
N8 0.7277 0.2894 0.2894

=====

Calculated X-ray diffraction stick pattern of AcC3N6 for Cu Kα X-rays, from DFT lattice parameters and positions (GGA-PBE).
Kinematic intensities with the Lorentz-polarization factor, no thermal factor.

Principal peaks in the range 10° ≤ 2θ ≤ 80°, in order of rising 2θ:
d [Å]  I (rel.)
5.936  100.0
3.885  32.2
3.251  28.8
2.968  26.7
2.851  37.2
2.056  28.1

Atomic structure:
a = 6.9956 Å, b = 6.9956 Å, c = 6.9956 Å
α = 116.11°, β = 116.11°, γ = 116.11°
Fractional coordinates of all 10 atoms:
Ac1 0.0000 0.0000 0.0000
C1 0.3011 0.3011 0.7437
C2 0.3011 0.7437 0.3011
C3 0.7437 0.3011 0.3011
N1 0.1860 0.1860 0.8029
N2 0.1860 0.8029 0.1860
N3 0.4095 0.4095 0.6735
N4 0.4095 0.6735 0.4095
N5 0.6735 0.4095 0.4095
N6 0.8029 0.1860 0.1860

=====

Calculated X-ray diffraction stick pattern of NaAcC3N6 for Cu Kα X-rays, from DFT lattice parameters and positions (GGA-PBE).
Kinematic intensities with the Lorentz-polarization factor, no thermal factor.

Principal peaks in the range 10° ≤ 2θ ≤ 80°, in order of rising 2θ:
d [Å]  I (rel.)
5.581  66.6
4.995  100.0
3.722  67.1
2.791  35.2
2.436  45.2
2.280  26.1

Atomic structure:
a = 6.2605 Å, b = 6.2605 Å, c = 6.2605 Å
α = 105.85°, β = 105.85°, γ = 105.85°
Fractional coordinates of all 11 atoms:
Na1 0.0000 0.0000 0.0000
Ac1 0.5000 0.5000 0.5000
C1 0.0005 0.5000 0.9995
C2 0.5000 0.9995 0.0005
C3 0.9995 0.0005 0.5000
N1 0.1443 0.1452 0.4596
N2 0.1452 0.4596 0.1443
N3 0.4596 0.1443 0.1452
N4 0.5404 0.8548 0.8557
N5 0.8548 0.8557 0.5404
N6 0.8557 0.5404 0.8548

=====

Calculated X-ray diffraction stick pattern of AcNd2C2N6 for Cu Kα X-rays, from DFT lattice parameters and positions (GGA-PBE).
Kinematic intensities with the Lorentz-polarization factor, no thermal factor.

Principal peaks in the range 10° ≤ 2θ ≤ 80°, in order of rising 2θ:
d [Å]  I (rel.)
3.677  100.0
2.987  79.0
2.333  46.9
2.319  38.8
1.832  37.4
1.566  23.2

Atomic structure:
a = 5.9742 Å, b = 5.9742 Å, c = 5.2279 Å
α = 90.00°, β = 90.00°, γ = 120.00°
Fractional coordinates of all 11 atoms:
Ac1 0.0000 0.0000 0.0000
Nd1 0.3333 0.6667 0.2869
Nd2 0.6667 0.3333 0.7131
C1 0.3333 0.6667 0.7696
C2 0.6667 0.3333 0.2304
N1 0.1200 0.4253 0.7609
N2 0.3053 0.8800 0.7609
N3 0.4253 0.3053 0.2391
N4 0.5747 0.6947 0.7609
N5 0.6947 0.1200 0.2391
N6 0.8800 0.5747 0.2391

=====

Calculated X-ray diffraction stick pattern of Ac2NdC2N6 for Cu Kα X-rays, from DFT lattice parameters and positions (GGA-PBE).
Kinematic intensities with the Lorentz-polarization factor, no thermal factor.

Principal peaks in the range 10° ≤ 2θ ≤ 80°, in order of rising 2θ:
d [Å]  I (rel.)
4.227  59.8
3.340  62.0
3.187  100.0
2.853  56.7
2.799  99.4
2.114  52.8

Atomic structure:
a = 5.6062 Å, b = 5.6062 Å, c = 6.8230 Å
α = 116.94°, β = 116.94°, γ = 58.27°
Fractional coordinates of all 11 atoms:
Ac1 0.2094 0.2094 0.1908
Ac2 0.7906 0.7906 0.8092
Nd1 0.0000 0.0000 0.5000
C1 0.4489 0.4489 0.7541
C2 0.5511 0.5511 0.2459
N1 0.2516 0.6847 0.2027
N2 0.2874 0.2874 0.6612
N3 0.3153 0.7484 0.7973
N4 0.6847 0.2516 0.2027
N5 0.7126 0.7126 0.3388
N6 0.7484 0.3153 0.7973

=====

Calculated X-ray diffraction stick pattern of AcPm2C2N6 for Cu Kα X-rays, from DFT lattice parameters and positions (GGA-PBE).
Kinematic intensities with the Lorentz-polarization factor, no thermal factor.

Principal peaks in the range 10° ≤ 2θ ≤ 80°, in order of rising 2θ:
d [Å]  I (rel.)
4.248  62.5
3.231  100.0
3.077  66.0
2.989  57.7
2.845  36.1
2.690  30.4

Atomic structure:
a = 4.9980 Å, b = 5.5328 Å, c = 6.6553 Å
α = 112.12°, β = 95.16°, γ = 110.45°
Fractional coordinates of all 11 atoms:
Ac1 0.0000 0.0000 0.0000
Pm1 0.2506 0.3946 0.6493
Pm2 0.7494 0.6054 0.3507
C1 0.2898 0.7458 0.2558
C2 0.7102 0.2542 0.7442
N1 0.1927 0.9559 0.3444
N2 0.2213 0.5246 0.3225
N3 0.4418 0.7479 0.0937
N4 0.5582 0.2521 0.9063
N5 0.7787 0.4754 0.6775
N6 0.8073 0.0441 0.6556

=====

Calculated X-ray diffraction stick pattern of Ac3PtC2N6 for Cu Kα X-rays, from DFT lattice parameters and positions (GGA-PBE).
Kinematic intensities with the Lorentz-polarization factor, no thermal factor.

Principal peaks in the range 10° ≤ 2θ ≤ 80°, in order of rising 2θ:
d [Å]  I (rel.)
3.940  55.9
2.822  100.0
2.751  88.1
2.256  22.4
1.970  40.4
1.602  35.4

Atomic structure:
a = 5.5028 Å, b = 5.5028 Å, c = 7.0035 Å
α = 90.00°, β = 90.00°, γ = 120.00°
Fractional coordinates of all 12 atoms:
Ac1 0.0000 0.0000 0.0000
Ac2 0.3333 0.6667 0.6635
Ac3 0.6667 0.3333 0.3365
Pt1 0.0000 0.0000 0.5000
C1 0.3333 0.6667 0.2605
C2 0.6667 0.3333 0.7395
N1 0.1884 0.3767 0.2597
N2 0.1884 0.8116 0.2597
N3 0.3767 0.1884 0.7403
N4 0.6233 0.8116 0.2597
N5 0.8116 0.1884 0.7403
N6 0.8116 0.6233 0.7403

=====

Calculated X-ray diffraction stick pattern of Ac2ScC2N6 for Cu Kα X-rays, from DFT lattice parameters and positions (GGA-PBE).
Kinematic intensities with the Lorentz-polarization factor, no thermal factor.

Principal peaks in the range 10° ≤ 2θ ≤ 80°, in order of rising 2θ:
d [Å]  I (rel.)
4.783  30.7
3.635  100.0
2.761  54.0
2.415  30.8
2.199  43.6
1.720  31.2

Atomic structure:
a = 5.5225 Å, b = 5.5225 Å, c = 5.5943 Å
α = 90.00°, β = 90.00°, γ = 120.00°
Fractional coordinates of all 11 atoms:
Ac1 0.3333 0.6667 0.2849
Ac2 0.6667 0.3333 0.7151
Sc1 0.0000 0.0000 0.0000
C1 0.3333 0.6667 0.7845
C2 0.6667 0.3333 0.2155
N1 0.1911 0.3822 0.7774
N2 0.1911 0.8089 0.7774
N3 0.3822 0.1911 0.2226
N4 0.6178 0.8089 0.7774
N5 0.8089 0.1911 0.2226
N6 0.8089 0.6178 0.2226